Simulated X-ray diffraction stick pattern
Compound: Li2Pm2O3F2
Radiation: copper Kα
Structure: a DFT-relaxed cell (GGA-PBE, Alexandria)

Main lines, by angle (2θ = 10–80°):
d = 7.420 Å, 2θ 11.93, I = 58; d = 3.774 Å, 2θ 23.57, I = 37; d = 3.064 Å, 2θ 29.15, I = 100; d = 2.759 Å, 2θ 32.45, I = 49; d = 2.362 Å, 2θ 38.09, I = 33; d = 2.214 Å, 2θ 40.75, I = 19; d = 1.951 Å, 2θ 46.55, I = 29; d = 1.842 Å, 2θ 49.49, I = 27; d = 1.646 Å, 2θ 55.87, I = 33; d = 1.504 Å, 2θ 61.66, I = 15

Cell: 3.9022 3.9022 14.8398 Å, 90.00 90.00 90.00°
Space group I4/mmm (No. 139)
Unique sites:
Li 0.0000 0.5000 0.0000
Pm 0.0000 0.0000 0.1693
O 0.0000 0.0000 0.0000
O 0.0000 0.5000 0.2500
F 0.0000 0.0000 0.4072